No. 1
SrCa: simulated powder diffractogram (CuKα), based on DFT lattice parameters and positions (GGA-PBE).
Kinematic intensities with the Lorentz-polarization factor, no thermal factor.

Cell and atoms:
```
data_SrCa
_chemical_formula_sum 'Sr2 Ca2'
_symmetry_space_group_name_H-M 'P 4/n m m'
_symmetry_Int_Tables_number 129
_cell_length_a 4.130
_cell_length_b 4.130
_cell_length_c 11.277
_cell_angle_alpha 90.00
_cell_angle_beta 90.00
_cell_angle_gamma 90.00
loop_
_symmetry_equiv_pos_as_xyz
'x,y,z'
'-x,-y,-z'
'-y+1/2,x,z'
'y+1/2,-x,-z'
'-x+1/2,-y+1/2,z'
'x+1/2,y+1/2,-z'
'y,-x+1/2,z'
'-y,x+1/2,-z'
'x+1/2,-y,-z'
'-x+1/2,y,z'
'-y,-x,-z'
'y,x,z'
'-x,y+1/2,-z'
'x,-y+1/2,z'
'y+1/2,x+1/2,-z'
'-y+1/2,-x+1/2,z'
loop_
_atom_site_label
_atom_site_type_symbol
_atom_site_fract_x
_atom_site_fract_y
_atom_site_fract_z
Sr1 Sr 0.250 0.250 0.138
Ca1 Ca 0.250 0.250 0.611
```

The 12 most intense peaks (10 to 90 degrees two-theta), by angle:
2θ 22.9, I = 14, (1 0 1); 2θ 26.8, I = 100, (1 0 2); 2θ 30.6, I = 36, (1 1 0); 2θ 31.7, I = 17, (0 0 4); 2θ 43.8, I = 13, (2 0 0); 2θ 44.7, I = 23, (1 1 4); 2θ 52.1, I = 30, (2 1 2); 2θ 53.6, I = 11, (1 0 6); 2θ 55.1, I = 11, (2 0 4); 2θ 71.6, I = 9, (2 1 6); 2θ 81.2, I = 7, (3 1 4); 2θ 86.8, I = 7, (3 2 2)


No. 2
SrCa11: simulated powder diffractogram (CuKα), based on DFT lattice parameters and positions (GGA-PBE).
Kinematic intensities with the Lorentz-polarization factor, no thermal factor.

Cell and atoms:
```
data_SrCa11
_chemical_formula_sum 'Sr1 Ca11'
_symmetry_space_group_name_H-M 'P 6/m m m'
_symmetry_Int_Tables_number 191
_symmetry_space_group_name_Hall '-P 6 2'
_cell_length_a 12.5750
_cell_length_b 12.5750
_cell_length_c 3.8054
_cell_angle_alpha 90.00
_cell_angle_beta 90.00
_cell_angle_gamma 120.00
loop_
_atom_site_label
_atom_site_type_symbol
_atom_site_fract_x
_atom_site_fract_y
_atom_site_fract_z
Sr1 Sr 0.0000 0.0000 0.0000
Ca1 Ca 0.0000 0.5000 0.0000
Ca2 Ca 0.1760 0.3519 0.5000
Ca3 Ca 0.3333 0.6667 0.0000
```

The 12 most intense peaks (10 to 90 degrees two-theta), by angle:
2θ 21.6, I = 8, (2 1 0); 2θ 27.4, I = 33, (1 1 1); 2θ 28.4, I = 100, (2 2 0); 2θ 28.6, I = 59, (2 0 1); 2θ 34.1, I = 19, (3 0 1); 2θ 40.8, I = 21, (4 0 1); 2θ 45.0, I = 15, (4 1 1); 2θ 50.3, I = 17, (6 0 0); 2θ 50.4, I = 21, (4 2 1); 2θ 56.5, I = 25, (2 2 2); 2θ 58.7, I = 10, (4 4 0); 2θ 71.9, I = 11, (6 0 2)


No. 3
SrCa3: simulated powder diffractogram (CuKα), based on DFT lattice parameters and positions (GGA-PBE).
Kinematic intensities with the Lorentz-polarization factor, no thermal factor.

Cell and atoms:
```
data_SrCa3
_chemical_formula_sum 'Sr2 Ca6'
_symmetry_space_group_name_H-M 'P m m a'
_symmetry_Int_Tables_number 51
_cell_length_a 7.325
_cell_length_b 6.460
_cell_length_c 7.814
_cell_angle_alpha 90.00
_cell_angle_beta 90.00
_cell_angle_gamma 90.00
loop_
_symmetry_equiv_pos_as_xyz
'x,y,z'
'-x,-y,-z'
'-x+1/2,-y,z'
'x+1/2,y,-z'
'x+1/2,-y,-z'
'-x+1/2,y,z'
'-x,y,-z'
'x,-y,z'
loop_
_atom_site_label
_atom_site_type_symbol
_atom_site_fract_x
_atom_site_fract_y
_atom_site_fract_z
Sr1 Sr 0.250 0.000 0.179
Ca1 Ca 0.000 0.500 0.500
Ca2 Ca 0.250 0.000 0.663
Ca3 Ca 0.250 0.500 0.934
```

The 12 most intense peaks (10 to 90 degrees two-theta), by angle:
2θ 21.6, I = 41, (1 1 1); 2θ 24.3, I = 37, (2 0 0); 2θ 26.7, I = 73, (0 1 2); 2θ 26.9, I = 31, (2 0 1); 2θ 27.6, I = 72, (0 2 0); 2θ 28.0, I = 51, (2 1 0); 2θ 29.4, I = 100, (1 1 2); 2θ 30.3, I = 21, (2 1 1); 2θ 37.1, I = 24, (2 2 0); 2θ 38.9, I = 22, (2 2 1); 2θ 46.0, I = 27, (3 1 2); 2θ 49.9, I = 21, (1 3 2)


No. 4
SrCa: simulated powder diffractogram (CuKα), based on DFT lattice parameters and positions (GGA-PBE).
Kinematic intensities with the Lorentz-polarization factor, no thermal factor.

Cell and atoms:
```
data_SrCa
_chemical_formula_sum 'Sr2 Ca2'
_symmetry_space_group_name_H-M 'P -3 m 1'
_symmetry_Int_Tables_number 164
_symmetry_space_group_name_Hall '-P 3 2"'
_cell_length_a 4.0785
_cell_length_b 4.0785
_cell_length_c 13.4388
_cell_angle_alpha 90.00
_cell_angle_beta 90.00
_cell_angle_gamma 120.00
loop_
_atom_site_label
_atom_site_type_symbol
_atom_site_fract_x
_atom_site_fract_y
_atom_site_fract_z
Sr1 Sr 0.3333 0.6667 0.1324
Ca1 Ca 0.3333 0.6667 0.6177
```

The 12 most intense peaks (10 to 90 degrees two-theta), by angle:
2θ 25.2, I = 23, (1 0 0); 2θ 26.1, I = 11, (1 0 1); 2θ 26.5, I = 26, (0 0 4); 2θ 28.6, I = 100, (0 1 2); 2θ 36.9, I = 16, (1 0 4); 2θ 44.4, I = 19, (1 1 0); 2θ 48.1, I = 21, (0 1 6); 2θ 52.5, I = 22, (1 1 4); 2θ 53.7, I = 16, (2 0 2); 2θ 67.5, I = 7, (2 0 6); 2θ 72.1, I = 13, (1 2 2); 2θ 84.5, I = 8, (1 2 6)


No. 5
SrCa: simulated powder diffractogram (CuKα), based on DFT lattice parameters and positions (GGA-PBE).
Kinematic intensities with the Lorentz-polarization factor, no thermal factor.

Cell and atoms:
```
data_SrCa
_chemical_formula_sum 'Sr6 Ca6'
_symmetry_space_group_name_H-M 'P 63/m'
_symmetry_Int_Tables_number 176
_symmetry_space_group_name_Hall '-P 6c'
_cell_length_a 13.5488
_cell_length_b 13.5488
_cell_length_c 3.9276
_cell_angle_alpha 90.00
_cell_angle_beta 90.00
_cell_angle_gamma 120.00
loop_
_atom_site_label
_atom_site_type_symbol
_atom_site_fract_x
_atom_site_fract_y
_atom_site_fract_z
Sr1 Sr 0.0604 0.7654 0.2500
Ca1 Ca 0.1443 0.5305 0.2500
```

The 12 most intense peaks (10 to 90 degrees two-theta), by angle:
2θ 13.1, I = 21, (1 1 0); 2θ 23.9, I = 19, (1 0 1); 2θ 26.2, I = 26, (1 1 1); 2θ 27.4, I = 100, (3 1 0); 2θ 30.4, I = 43, (2 1 1); 2θ 32.3, I = 13, (3 0 1); 2θ 35.0, I = 11, (2 2 1); 2θ 40.6, I = 15, (2 3 1); 2θ 47.1, I = 15, (2 4 1); 2θ 48.4, I = 15, (2 5 0); 2θ 54.6, I = 24, (3 1 2); 2θ 56.5, I = 12, (6 2 0)


No. 6
Sr5Ca2: simulated powder diffractogram (CuKα), based on DFT lattice parameters and positions (GGA-PBE).
Kinematic intensities with the Lorentz-polarization factor, no thermal factor.

Cell and atoms:
```
data_Sr5Ca2
_chemical_formula_sum 'Sr20 Ca8'
_symmetry_space_group_name_H-M 'C 1 2/c 1'
_symmetry_Int_Tables_number 15
_cell_length_a 18.539
_cell_length_b 7.167
_cell_length_c 10.795
_cell_angle_alpha 90.00
_cell_angle_beta 92.77
_cell_angle_gamma 90.00
loop_
_symmetry_equiv_pos_as_xyz
'x,y,z'
'-x,-y,-z'
'-x,y,-z+1/2'
'x,-y,z+1/2'
'x+1/2,y+1/2,z'
'-x+1/2,-y+1/2,-z'
'-x+1/2,y+1/2,-z+1/2'
'x+1/2,-y+1/2,z+1/2'
loop_
_atom_site_label
_atom_site_type_symbol
_atom_site_fract_x
_atom_site_fract_y
_atom_site_fract_z
Sr1 Sr 0.000 0.173 0.250
Sr2 Sr 0.139 0.171 0.964
Sr3 Sr 0.215 0.335 0.323
Ca1 Ca 0.069 0.333 0.608
```

The 12 most intense peaks (10 to 90 degrees two-theta), by angle:
2θ 24.7, I = 23, (3 1 -2); 2θ 24.8, I = 12, (0 2 0); 2θ 26.0, I = 40, (4 0 2); 2θ 28.0, I = 100, (1 1 -3); 2θ 28.1, I = 48, (2 2 1); 2θ 36.2, I = 25, (4 2 2); 2θ 43.5, I = 10, (6 0 -4); 2θ 43.7, I = 19, (3 3 -2); 2θ 47.1, I = 34, (3 1 5); 2θ 51.4, I = 12, (2 0 -6); 2θ 51.5, I = 23, (1 3 4); 2θ 52.8, I = 9, (2 4 1)


No. 7
Sr3Ca4: simulated powder diffractogram (CuKα), based on DFT lattice parameters and positions (GGA-PBE).
Kinematic intensities with the Lorentz-polarization factor, no thermal factor.

Cell and atoms:
```
data_Sr3Ca4
_chemical_formula_sum 'Sr6 Ca8'
_symmetry_space_group_name_H-M 'I m m m'
_symmetry_Int_Tables_number 71
_symmetry_space_group_name_Hall '-I 2 2'
_cell_length_a 4.069
_cell_length_b 5.695
_cell_length_c 28.474
_cell_angle_alpha 90.00
_cell_angle_beta 90.00
_cell_angle_gamma 90.00
loop_
_atom_site_label
_atom_site_type_symbol
_atom_site_fract_x
_atom_site_fract_y
_atom_site_fract_z
Sr1 Sr 0.000 0.000 0.000
Sr2 Sr 0.000 0.000 0.144
Ca1 Ca 0.000 0.000 0.284
Ca2 Ca 0.000 0.000 0.428
```

The 12 most intense peaks (10 to 90 degrees two-theta), by angle:
2θ 15.9, I = 9, (0 1 1); 2θ 26.9, I = 100, (1 1 0); 2θ 31.1, I = 34, (1 0 7); 2θ 31.4, I = 17, (0 2 0); 2θ 44.5, I = 12, (2 0 0); 2θ 44.8, I = 24, (1 2 7); 2θ 52.8, I = 28, (2 1 7); 2θ 53.2, I = 14, (1 3 0); 2θ 55.5, I = 12, (2 2 0); 2θ 71.9, I = 11, (2 3 7); 2θ 82.2, I = 8, (3 2 7); 2θ 88.3, I = 6, (3 1 14)


No. 8
Sr5Ca6: simulated powder diffractogram (CuKα), based on DFT lattice parameters and positions (GGA-PBE).
Kinematic intensities with the Lorentz-polarization factor, no thermal factor.

Cell and atoms:
```
data_Sr5Ca6
_chemical_formula_sum 'Sr10 Ca12'
_symmetry_space_group_name_H-M 'C 1 2/m 1'
_symmetry_Int_Tables_number 12
_cell_length_a 13.407
_cell_length_b 11.887
_cell_length_c 7.005
_cell_angle_alpha 90.00
_cell_angle_beta 98.86
_cell_angle_gamma 90.00
loop_
_symmetry_equiv_pos_as_xyz
'x,y,z'
'-x,-y,-z'
'-x,y,-z'
'x,-y,z'
'x+1/2,y+1/2,z'
'-x+1/2,-y+1/2,-z'
'-x+1/2,y+1/2,-z'
'x+1/2,-y+1/2,z'
loop_
_atom_site_label
_atom_site_type_symbol
_atom_site_fract_x
_atom_site_fract_y
_atom_site_fract_z
Sr1 Sr 0.000 0.000 0.000
Sr2 Sr 0.000 0.177 0.500
Sr3 Sr 0.000 0.339 0.000
Ca1 Ca 0.250 0.000 0.733
Ca2 Ca 0.250 0.165 0.241
```

The 12 most intense peaks (10 to 90 degrees two-theta), by angle:
2θ 13.4, I = 16, (2 0 0); 2θ 26.9, I = 53, (4 0 0); 2θ 27.2, I = 51, (2 0 -2); 2θ 27.3, I = 100, (1 3 1); 2θ 30.9, I = 37, (2 0 2); 2θ 31.7, I = 68, (3 3 -1); 2θ 44.8, I = 25, (5 3 1); 2θ 45.1, I = 24, (1 3 -3); 2θ 52.8, I = 15, (3 3 3); 2θ 53.5, I = 14, (7 3 -1); 2θ 53.7, I = 14, (5 3 -3); 2θ 54.1, I = 14, (2 6 -2)


No. 9
Sr5Ca7: simulated powder diffractogram (CuKα), based on DFT lattice parameters and positions (GGA-PBE).
Kinematic intensities with the Lorentz-polarization factor, no thermal factor.

Cell and atoms:
```
data_Sr5Ca7
_chemical_formula_sum 'Sr5 Ca7'
_symmetry_space_group_name_H-M 'P m m 2'
_symmetry_Int_Tables_number 25
_cell_length_a 4.077
_cell_length_b 12.235
_cell_length_c 11.309
_cell_angle_alpha 90.00
_cell_angle_beta 90.00
_cell_angle_gamma 90.00
loop_
_symmetry_equiv_pos_as_xyz
'x,y,z'
'-x,-y,z'
'-x,y,z'
'x,-y,z'
loop_
_atom_site_label
_atom_site_type_symbol
_atom_site_fract_x
_atom_site_fract_y
_atom_site_fract_z
Sr1 Sr 0.000 0.000 0.000
Sr2 Sr 0.000 0.337 0.520
Sr3 Sr 0.500 0.168 0.264
Ca1 Ca 0.000 0.000 0.529
Ca2 Ca 0.000 0.337 0.008
Ca3 Ca 0.500 0.170 0.764
Ca4 Ca 0.500 0.500 0.250
Ca5 Ca 0.500 0.500 0.777
```

The 12 most intense peaks (10 to 90 degrees two-theta), by angle:
2θ 10.7, I = 6, (0 1 1); 2θ 27.0, I = 100, (1 0 2); 2θ 31.0, I = 35, (1 3 0); 2θ 31.6, I = 16, (0 0 4); 2θ 44.4, I = 12, (2 0 0); 2θ 44.9, I = 23, (1 3 4); 2θ 52.7, I = 29, (2 3 2); 2θ 53.6, I = 13, (1 0 6); 2θ 55.6, I = 12, (2 0 4); 2θ 72.1, I = 10, (2 3 6); 2θ 82.2, I = 7, (3 3 4); 2θ 88.1, I = 6, (3 6 2)


No. 10
Sr11Ca4: simulated powder diffractogram (CuKα), based on DFT lattice parameters and positions (GGA-PBE).
Kinematic intensities with the Lorentz-polarization factor, no thermal factor.

Cell and atoms:
```
data_Sr11Ca4
_chemical_formula_sum 'Sr22 Ca8'
_symmetry_space_group_name_H-M 'P 42/m n m'
_symmetry_Int_Tables_number 136
_symmetry_space_group_name_Hall '-P 4n 2n'
_cell_length_a 14.343
_cell_length_b 14.343
_cell_length_c 7.559
_cell_angle_alpha 90.00
_cell_angle_beta 90.00
_cell_angle_gamma 90.00
loop_
_atom_site_label
_atom_site_type_symbol
_atom_site_fract_x
_atom_site_fract_y
_atom_site_fract_z
Sr1 Sr 0.000 0.000 0.000
Sr2 Sr 0.063 0.269 0.000
Sr3 Sr 0.106 0.106 0.500
Sr4 Sr 0.184 0.816 0.250
Ca1 Ca 0.034 0.372 0.500
```

The 12 most intense peaks (10 to 90 degrees two-theta), by angle:
2θ 25.6, I = 100, (4 1 0); 2θ 26.4, I = 40, (3 3 0); 2θ 26.7, I = 36, (2 0 2); 2θ 27.4, I = 90, (2 1 2); 2θ 28.2, I = 91, (4 1 1); 2θ 28.9, I = 51, (3 3 1); 2θ 29.5, I = 17, (2 2 2); 2θ 43.9, I = 26, (5 3 2); 2θ 44.4, I = 25, (4 1 3); 2θ 44.9, I = 31, (6 0 2); 2θ 46.1, I = 20, (7 2 0); 2θ 55.3, I = 23, (4 1 4)


No. 11
Sr2Ca: simulated powder diffractogram (CuKα), based on DFT lattice parameters and positions (GGA-PBE).
Kinematic intensities with the Lorentz-polarization factor, no thermal factor.

Cell and atoms:
```
data_Sr2Ca
_chemical_formula_sum 'Sr4 Ca2'
_symmetry_space_group_name_H-M 'I m m m'
_symmetry_Int_Tables_number 71
_symmetry_space_group_name_Hall '-I 2 2'
_cell_length_a 3.989
_cell_length_b 6.855
_cell_length_c 11.310
_cell_angle_alpha 90.00
_cell_angle_beta 90.00
_cell_angle_gamma 90.00
loop_
_atom_site_label
_atom_site_type_symbol
_atom_site_fract_x
_atom_site_fract_y
_atom_site_fract_z
Sr1 Sr 0.000 0.000 0.182
Ca1 Ca 0.000 0.500 0.000
```

The 12 most intense peaks (10 to 90 degrees two-theta), by angle:
2θ 15.7, I = 21, (0 0 2); 2θ 23.7, I = 42, (1 0 1); 2θ 25.8, I = 44, (1 1 0); 2θ 26.0, I = 59, (0 2 0); 2θ 27.0, I = 100, (0 1 3); 2θ 30.4, I = 83, (1 1 2); 2θ 32.7, I = 22, (1 0 3); 2θ 35.4, I = 29, (1 2 1); 2θ 42.2, I = 21, (1 2 3); 2θ 46.5, I = 22, (0 3 3); 2θ 48.7, I = 21, (1 3 2); 2θ 53.7, I = 51, (2 1 3)


No. 12
Sr5Ca2: simulated powder diffractogram (CuKα), based on DFT lattice parameters and positions (GGA-PBE).
Kinematic intensities with the Lorentz-polarization factor, no thermal factor.

Cell and atoms:
```
data_Sr5Ca2
_chemical_formula_sum 'Sr10 Ca4'
_symmetry_space_group_name_H-M 'C 1 2/m 1'
_symmetry_Int_Tables_number 12
_cell_length_a 13.149
_cell_length_b 5.890
_cell_length_c 9.290
_cell_angle_alpha 90.00
_cell_angle_beta 98.29
_cell_angle_gamma 90.00
loop_
_symmetry_equiv_pos_as_xyz
'x,y,z'
'-x,-y,-z'
'-x,y,-z'
'x,-y,z'
'x+1/2,y+1/2,z'
'-x+1/2,-y+1/2,-z'
'-x+1/2,y+1/2,-z'
'x+1/2,-y+1/2,z'
loop_
_atom_site_label
_atom_site_type_symbol
_atom_site_fract_x
_atom_site_fract_y
_atom_site_fract_z
Sr1 Sr 0.000 0.000 0.000
Sr2 Sr 0.141 0.000 0.429
Sr3 Sr 0.214 0.500 0.143
Ca1 Ca 0.072 0.500 0.710
```

The 12 most intense peaks (10 to 90 degrees two-theta), by angle:
2θ 26.2, I = 100, (1 1 2); 2θ 30.3, I = 17, (0 2 0); 2θ 30.4, I = 34, (4 0 1); 2θ 43.5, I = 13, (2 2 -3); 2θ 43.5, I = 19, (4 2 1); 2θ 43.6, I = 6, (2 0 4); 2θ 51.5, I = 30, (1 3 2); 2θ 51.6, I = 15, (5 1 3); 2θ 54.0, I = 7, (6 2 -2); 2θ 54.1, I = 6, (2 2 4); 2θ 69.6, I = 12, (7 3 0); 2θ 71.7, I = 10, (4 4 1)